[1]
# Rb2AgRuF6
Theoretical PXRD pattern, Cu Kα (λ = 1.5418 Å). Input: a cell relaxed with PBE.
Neutral-atom scattering factors, no anomalous dispersion.

Principal peaks in the range 2θ = 15–90°, in order of falling intensity:
- 28.4°, I 100
- 50.2°, I 39
- 40.5°, I 38
- 58.7°, I 23
- 80.8°, I 21
- 66.4°, I 18
- 19.9°, I 7
- 73.7°, I 7
- 87.7°, I 3
- 45.6°, I 2

Crystal structure
abc: 6.294 6.294 6.294
angles: 60.00 60.00 60.00
Atoms (fractional coordinates):
Rb  0.250  0.250  0.250
Rb  0.750  0.750  0.750
Ag  0.000  0.000  0.000
Ru  0.500  0.500  0.500
F  0.271  0.271  0.729
F  0.271  0.729  0.271
F  0.271  0.729  0.729
F  0.729  0.271  0.271
F  0.729  0.271  0.729
F  0.729  0.729  0.271


[2]
# Al3GaN4
Theoretical PXRD pattern, Cu Kα (λ = 1.5418 Å). Input: a cell relaxed with PBE.
Neutral-atom scattering factors, no anomalous dispersion.

Principal peaks in the range 2θ = 15–90°, in order of falling intensity:
- 35.1°, I 100
- 58.9°, I 46
- 70.5°, I 35
- 20.0°, I 21
- 28.5°, I 21
- 40.7°, I 20
- 45.8°, I 12
- 50.4°, I 8
- 88.2°, I 7
- 74.1°, I 5

Crystal structure
abc: 4.432 4.432 4.432
angles: 90.00 90.00 90.00
Atoms (fractional coordinates):
Al  0.000  0.000  0.500
Al  0.000  0.500  0.000
Al  0.500  0.000  0.000
Ga  0.500  0.500  0.500
N  0.244  0.244  0.756
N  0.244  0.756  0.244
N  0.756  0.244  0.244
N  0.756  0.756  0.756


[3]
# Fe2GeS4
Theoretical PXRD pattern, Cu Kα (λ = 1.5418 Å). Input: a cell relaxed with PBE.
Neutral-atom scattering factors, no anomalous dispersion.

Principal peaks in the range 2θ = 15–90°, in order of falling intensity:
- 30.9°, I 100
- 31.8°, I 99
- 44.8°, I 89
- 54.3°, I 73
- 34.6°, I 70
- 54.2°, I 43
- 27.9°, I 42
- 20.1°, I 40
- 58.7°, I 34
- 35.5°, I 30

Crystal structure
abc: 11.692 6.775 5.600
angles: 90.00 90.00 90.00
Atoms (fractional coordinates):
Fe  0.000  0.000  0.000
Fe  0.000  0.500  0.000
Fe  0.231  0.250  0.499
Fe  0.269  0.750  0.999
Fe  0.500  0.000  0.500
Fe  0.500  0.500  0.500
Fe  0.731  0.250  0.001
Fe  0.769  0.750  0.501
Ge  0.093  0.750  0.559
Ge  0.407  0.250  0.059
Ge  0.593  0.750  0.941
Ge  0.907  0.250  0.441
S  0.076  0.250  0.246
S  0.095  0.750  0.153
S  0.168  0.009  0.759
S  0.168  0.491  0.759
S  0.332  0.509  0.259
S  0.332  0.991  0.259
S  0.405  0.250  0.653
S  0.424  0.750  0.746
S  0.576  0.250  0.254
S  0.595  0.750  0.347
S  0.668  0.009  0.741
S  0.668  0.491  0.741
S  0.832  0.509  0.241
S  0.832  0.991  0.241
S  0.905  0.250  0.847
S  0.924  0.750  0.754